# LuMgZrCo
Theoretical powder XRD pattern, Cu Kα, 1.54184 Å. Input: a cell relaxed with PBE.

Cell lengths 6.7813, 6.7813, 6.7813 Å; angles 90.00, 90.00, 90.00 degrees
Space group F-43m (No. 216)
Inequivalent atoms, fractional coordinates:
Lu  0.0000  0.0000  0.0000 (multiplicity 4)
Mg  0.2500  0.2500  0.7500 (multiplicity 4)
Zr  0.0000  0.0000  0.5000 (multiplicity 4)
Co  0.2500  0.2500  0.2500 (multiplicity 4)

Main lines, in order of falling intensity (15 to 90 degrees two-theta):
hkl 2 2 0, 2θ = 37.5°, I 100; hkl 4 2 2, 2θ = 67.7°, I 34; hkl 2 0 0, 2θ = 26.3°, I 32; hkl 4 0 0, 2θ = 54.1°, I 17; hkl 1 1 1, 2θ = 22.7°, I 14; hkl 4 2 0, 2θ = 61.1°, I 13; hkl 4 4 0, 2θ = 80.0°, I 11; hkl 2 2 2, 2θ = 46.4°, I 9; hkl 3 1 1, 2θ = 44.3°, I 8; hkl 6 0 0, 2θ = 86.0°, I 6

***

# PmScNO
Theoretical powder XRD pattern, Cu Kα, 1.54184 Å. Input: a cell relaxed with PBE.

Cell lengths 4.7727, 3.8938, 6.7628 Å; angles 90.00, 90.00, 90.00 degrees
Space group Pmma (No. 51)
Inequivalent atoms, fractional coordinates:
Pm  0.2500  0.0000  0.1673 (multiplicity 2)
Sc  0.2500  0.5000  0.6584 (multiplicity 2)
N  0.2500  0.5000  0.3545 (multiplicity 2)
O  0.2500  0.0000  0.7927 (multiplicity 2)

Main lines, in order of falling intensity (15 to 90 degrees two-theta):
hkl 1 0 2, 2θ = 32.5°, I 100; hkl 0 0 2, 2θ = 26.4°, I 54; hkl 0 1 0, 2θ = 22.8°, I 51; hkl 0 1 3, 2θ = 46.6°, I 49; hkl 2 2 0, 2θ = 61.4°, I 35; hkl 2 0 0, 2θ = 37.7°, I 28; hkl 0 0 3, 2θ = 40.0°, I 23; hkl 0 2 0, 2θ = 46.7°, I 15; hkl 3 0 2, 2θ = 64.8°, I 14; hkl 1 2 2, 2θ = 58.0°, I 14

***

# RbHfAgTe2S
Theoretical powder XRD pattern, Cu Kα, 1.54184 Å. Input: a cell relaxed with PBE.

Cell lengths 4.2310, 17.4283, 10.1269 Å; angles 90.00, 90.00, 90.00 degrees
Space group Cmcm (No. 63)
Inequivalent atoms, fractional coordinates:
Rb  0.0000  0.2320  0.2500 (multiplicity 4)
Hf  0.0000  0.0000  0.0000 (multiplicity 4)
Ag  0.0000  0.4450  0.7500 (multiplicity 4)
Te  0.0000  0.3800  0.5044 (multiplicity 8)
S  0.0000  0.0277  0.7500 (multiplicity 4)

Main lines, in order of falling intensity (15 to 90 degrees two-theta):
hkl 1 3 2, 2θ = 31.6°, I 100; hkl 1 5 0, 2θ = 33.3°, I 61; hkl 0 0 4, 2θ = 35.5°, I 51; hkl 1 3 0, 2θ = 26.1°, I 41; hkl 1 5 4, 2θ = 49.4°, I 39; hkl 1 3 1, 2θ = 27.5°, I 38; hkl 1 5 2, 2θ = 37.9°, I 34; hkl 2 0 0, 2θ = 42.7°, I 30; hkl 2 0 4, 2θ = 56.7°, I 26; hkl 0 8 2, 2θ = 45.3°, I 26

***

# Dy2Tm2InNi2Sn4
Theoretical powder XRD pattern, Cu Kα, 1.54184 Å. Input: a cell relaxed with PBE.

Cell lengths 16.0588, 4.5470, 7.3648 Å; angles 90.00, 109.89, 90.00 degrees
Space group C2/m (No. 12)
Inequivalent atoms, fractional coordinates:
Dy  0.0909  0.0000  0.3921 (multiplicity 4)
Tm  0.1584  0.0000  0.9541 (multiplicity 4)
In  0.0000  0.5000  0.0000 (multiplicity 2)
Ni  0.2222  0.5000  0.6515 (multiplicity 4)
Sn  0.0707  0.5000  0.6791 (multiplicity 4)
Sn  0.2016  0.5000  0.2735 (multiplicity 4)

Main lines, in order of falling intensity (15 to 90 degrees two-theta):
hkl 3 1 -2, 2θ = 32.6°, I 100; hkl 3 1 1, 2θ = 32.0°, I 78; hkl 0 2 0, 2θ = 39.6°, I 53; hkl 1 1 2, 2θ = 34.6°, I 47; hkl 5 1 -1, 2θ = 34.3°, I 31; hkl 6 0 -1, 2θ = 33.5°, I 28; hkl 0 0 3, 2θ = 39.0°, I 26; hkl 5 1 0, 2θ = 35.7°, I 21; hkl 6 2 -1, 2θ = 52.9°, I 17; hkl 0 2 3, 2θ = 56.8°, I 17